Starting from a cell relaxed with GGA-PBE, the powder X-ray diffraction pattern of Nd3CuRh was computed for Cu Kα (λ = 1.5418 Å).
Kinematic intensities with the Lorentz-polarization factor, no thermal factor.

Peak list (8 most intense, 2θ from 10° to 90°, in order of rising 2θ)
| Position (°2θ) | I (rel.) |
| --- | --- |
| 29.7 | 51 |
| 30.3 | 53 |
| 30.6 | 44 |
| 31.7 | 100 |
| 36.2 | 40 |
| 36.8 | 47 |
| 39.7 | 41 |
| 45.8 | 35 |

abc: 10.3460 10.3460 6.6136
angles: 97.03 97.03 22.09
Sites, in units of the cell vectors:
1 Nd 0.0085 0.0085 0.2500
2 Nd 0.1786 0.1786 0.0961
3 Nd 0.3669 0.3669 0.4041
4 Nd 0.6331 0.6331 0.5959
5 Nd 0.8214 0.8214 0.9039
6 Nd 0.9915 0.9915 0.7500
7 Cu 0.2383 0.2383 0.6100
8 Cu 0.7617 0.7617 0.3900
9 Rh 0.4217 0.4217 0.9840
10 Rh 0.5783 0.5783 0.0160